# SrCrO3
Calculated PXRD pattern, Cu Kα (weighted mean of Kα1 and Kα2). Input: a structure optimized by DFT (PBE+U).

Most intense lines, 10 to 90 degrees two-theta, by angle:
| 2theta | I/Imax | hkl |
| --- | --- | --- |
| 26.7 | 54.5 | 1 0 2 |
| 32.3 | 100.0 | 1 1 0 |
| 34.4 | 51.0 | 1 0 3 |
| 38.6 | 9.4 | 0 0 4 |
| 42.4 | 55.9 | 2 0 2 |
| 43.1 | 9.5 | 1 0 4 |
| 47.9 | 37.3 | 2 0 3 |
| 54.3 | 13.1 | 2 1 2 |
| 57.6 | 18.3 | 3 0 0 |
| 58.9 | 22.5 | 2 1 3 |
| 67.6 | 21.9 | 2 2 0 |
| 72.5 | 12.8 | 2 0 6 |

Unit cell a=5.5424 b=5.5424 c=9.3250 alpha=90.00 beta=90.00 gamma=120.00
Atoms (fractional coordinates):
Sr: 0.0000 0.0000 0.0000
Sr: 0.0000 0.0000 0.5000
Sr: 0.3333 0.6667 0.2500
Sr: 0.6667 0.3333 0.7500
Cr: 0.3333 0.6667 0.6131
Cr: 0.3333 0.6667 0.8869
Cr: 0.6667 0.3333 0.1131
Cr: 0.6667 0.3333 0.3869
O: 0.0000 0.5000 0.0000
O: 0.0000 0.5000 0.5000
O: 0.1794 0.3588 0.7500
O: 0.1794 0.8206 0.7500
O: 0.3588 0.1794 0.2500
O: 0.5000 0.0000 0.0000
O: 0.5000 0.0000 0.5000
O: 0.5000 0.5000 0.0000
O: 0.5000 0.5000 0.5000
O: 0.6412 0.8206 0.7500
O: 0.8206 0.1794 0.2500
O: 0.8206 0.6412 0.2500